# MgMn8O13F3
Computed XRD peak list, Cu Kα. Input: DFT lattice parameters and positions (PBE+U).
No peak broadening, texture or thermal motion is included.

Lattice parameters (Å, degrees): 5.8722 6.6272 7.0453 93.67 95.47 90.24
Positions (direct):
Mg 0.0000 0.0000 0.0000
Mn 0.2406 0.4980 0.9777
Mn 0.2656 0.0239 0.4751
Mn 0.4474 0.0142 0.9712
Mn 0.4661 0.5007 0.4746
Mn 0.7226 0.7547 0.2460
Mn 0.7413 0.2538 0.7160
Mn 0.9395 0.2985 0.2807
Mn 0.9541 0.7311 0.6968
O 0.2005 0.7765 0.9126
O 0.2251 0.3055 0.4438
O 0.2316 0.2206 0.0323
O 0.4849 0.5483 0.2011
O 0.4875 0.0583 0.7028
O 0.4894 0.9567 0.2353
O 0.5185 0.4628 0.7383
O 0.6908 0.2987 0.4562
O 0.7003 0.7115 0.5016
O 0.9581 0.0281 0.7057
O 0.9585 0.5597 0.2072
O 0.9797 0.9956 0.2854
O 0.9874 0.4562 0.7680
F 0.2415 0.7265 0.5150
F 0.7236 0.8120 0.9663
F 0.7526 0.2153 0.0064

Most intense lines, 15 to 90 degrees two-theta, by angle:
23.56 deg, rel. 99
25.28 deg, rel. 94
28.45 deg, rel. 100
30.93 deg, rel. 73
31.02 deg, rel. 68
31.21 deg, rel. 68
34.66 deg, rel. 73
36.60 deg, rel. 41
52.29 deg, rel. 47
53.35 deg, rel. 41